Calculated X-ray diffraction stick pattern of Ac6La2Pr5 for Cu Kα (weighted mean of Kα1 and Kα2), from a PBE-relaxed structure.
Lines closer than 0.1° are merged.

Largest 12 diffraction maxima, by angle, 2θ = 15–90°:
two_theta	intensity
25.53	57
25.69	47
27.72	30
29.61	79
29.74	63
30.18	100
31.78	30
33.18	24
33.74	45
46.36	26
47.73	38
57.17	26

```
data_Ac6La2Pr5
_symmetry_space_group_name_H-M 'P b a m'
_symmetry_Int_Tables_number 55
_symmetry_space_group_name_Hall '-P 2 2ab'
_cell_length_a 11.6267
_cell_length_b 24.0342
_cell_length_c 3.8116
_cell_angle_alpha 90.00
_cell_angle_beta 90.00
_cell_angle_gamma 90.00
loop_
_atom_site_label
_atom_site_fract_x
_atom_site_fract_y
_atom_site_fract_z
Ac1 0.0240 0.1099 0.0000
Ac2 0.1422 0.3840 0.0000
Ac3 0.1655 0.6324 0.5000
La1 0.1621 0.7708 0.0000
Pr1 0.0000 0.5000 0.5000
Pr2 0.0888 0.2469 0.5000
Pr3 0.1696 0.9944 0.5000
```